Entry 1:
Starting from a cell relaxed with PBE, the powder diffractogram of Ac2HfSe6 was calculated for λ = 1.5418 Å (Cu Kα).
Intensities are scaled so that the largest is 100.

Most intense lines, 2θ from 15° to 90°, by angle:
| 2θ/deg | I/Imax |
| --- | --- |
| 21.62 | 99 |
| 22.31 | 100 |
| 34.25 | 97 |
| 36.57 | 46 |
| 37.03 | 77 |
| 38.27 | 34 |
| 40.50 | 23 |
| 40.86 | 39 |
| 42.01 | 18 |
| 45.58 | 18 |

Atomic structure:
Lattice parameters (Å, degrees): 14.4262 7.4969 4.9610 90.00 102.00 90.00
Space group C2/m (No. 12)
Asymmetric unit:
Ac1 0.1661 0.0000 0.1693 (multiplicity 4)
Hf1 0.0000 0.5000 0.5000 (multiplicity 2)
Se1 0.0000 0.2893 0.0000 (multiplicity 4)
Se2 0.1504 0.2632 0.6568 (multiplicity 8)

=====

Entry 2:
Starting from a cell relaxed with PBE, the powder diffractogram of CeErAsO2 was calculated for λ = 1.5418 Å (Cu Kα).
Intensities are scaled so that the largest is 100.

Most intense lines, 2θ from 15° to 90°, by angle:
| 2θ/deg | I/Imax |
| --- | --- |
| 24.37 | 15 |
| 32.12 | 100 |
| 33.09 | 41 |
| 44.77 | 11 |
| 47.50 | 21 |
| 56.63 | 19 |
| 58.50 | 36 |
| 67.18 | 8 |
| 78.58 | 8 |
| 79.11 | 7 |

Atomic structure:
Lattice parameters (Å, degrees): 3.8281 3.8281 12.1961 90.00 90.00 90.00
Space group I4mm (No. 107)
Asymmetric unit:
Ce1 0.0000 0.0000 0.0000 (multiplicity 2)
Er1 0.0000 0.0000 0.3035 (multiplicity 2)
As1 0.0000 0.0000 0.6469 (multiplicity 2)
O1 0.0000 0.5000 0.3976 (multiplicity 4)

=====

Entry 3:
Starting from a cell relaxed with PBE, the powder diffractogram of Tl2RhBr6 was calculated for λ = 1.5418 Å (Cu Kα).
Intensities are scaled so that the largest is 100.

Most intense lines, 2θ from 15° to 90°, by angle:
| 2θ/deg | I/Imax |
| --- | --- |
| 17.86 | 100 |
| 24.59 | 38 |
| 27.72 | 35 |
| 35.61 | 75 |
| 36.17 | 33 |
| 42.81 | 12 |
| 44.23 | 38 |
| 46.73 | 14 |
| 57.25 | 15 |
| 58.41 | 15 |

Atomic structure:
Lattice parameters (Å, degrees): 7.0244 7.0244 12.6743 90.00 90.00 90.00
Space group P4_2/mnm (No. 136)
Asymmetric unit:
Tl1 0.0000 0.0000 0.1577 (multiplicity 4)
Rh1 0.0000 0.0000 0.5000 (multiplicity 2)
Br1 0.1769 0.1769 0.3578 (multiplicity 8)
Br2 0.2472 0.2472 0.0000 (multiplicity 4)

=====

Entry 4:
Starting from a cell relaxed with PBE, the powder diffractogram of ScTa2Cr was calculated for λ = 1.5418 Å (Cu Kα).
Intensities are scaled so that the largest is 100.

Most intense lines, 2θ from 15° to 90°, by angle:
| 2θ/deg | I/Imax |
| --- | --- |
| 30.78 | 32 |
| 38.14 | 100 |
| 39.94 | 48 |
| 42.05 | 15 |
| 48.29 | 14 |
| 56.72 | 9 |
| 57.76 | 16 |
| 67.72 | 15 |
| 71.34 | 31 |
| 81.61 | 9 |

Atomic structure:
Lattice parameters (Å, degrees): 3.1924 3.1924 7.0044 90.00 90.00 90.00
Space group P4mm (No. 99)
Asymmetric unit:
Sc1 0.0000 0.0000 0.0000 (multiplicity 1)
Ta1 0.0000 0.0000 0.5506 (multiplicity 1)
Ta2 0.5000 0.5000 0.2965 (multiplicity 1)
Cr1 0.5000 0.5000 0.7386 (multiplicity 1)

=====

Entry 5:
Starting from a cell relaxed with PBE, the powder diffractogram of SiO2 was calculated for λ = 1.5418 Å (Cu Kα).
Intensities are scaled so that the largest is 100.

Most intense lines, 2θ from 15° to 90°, by angle:
| 2θ/deg | I/Imax |
| --- | --- |
| 20.32 | 64 |
| 21.24 | 100 |
| 23.76 | 97 |
| 27.69 | 99 |
| 28.38 | 58 |
| 35.16 | 21 |
| 45.68 | 25 |
| 47.47 | 24 |
| 48.63 | 22 |
| 62.80 | 18 |

Atomic structure:
Lattice parameters (Å, degrees): 8.3651 8.7386 4.7705 90.00 90.00 90.00
Space group C222_1 (No. 20)
Asymmetric unit:
Si1 0.1811 0.1657 0.3701 (multiplicity 8)
O1 0.0000 0.1637 0.2500 (multiplicity 4)
O2 0.1956 0.2952 0.6152 (multiplicity 8)
O3 0.2282 0.0000 0.5000 (multiplicity 4)

=====

Entry 6:
Starting from a cell relaxed with PBE, the powder diffractogram of Na5Tl2Pb was calculated for λ = 1.5418 Å (Cu Kα).
Intensities are scaled so that the largest is 100.

Most intense lines, 2θ from 15° to 90°, by angle:
| 2θ/deg | I/Imax |
| --- | --- |
| 19.85 | 100 |
| 24.34 | 71 |
| 24.81 | 24 |
| 26.62 | 35 |
| 30.89 | 83 |
| 33.33 | 61 |
| 41.22 | 21 |
| 43.17 | 60 |
| 44.73 | 32 |
| 62.23 | 23 |

Atomic structure:
Lattice parameters (Å, degrees): 8.5015 8.5015 13.3961 90.00 90.00 90.00
Space group I4/mcm (No. 140)
Asymmetric unit:
Na1 0.0000 0.0000 0.0000 (multiplicity 4)
Na2 0.1620 0.3380 0.1602 (multiplicity 16)
Tl1 0.1359 0.3641 0.5000 (multiplicity 8)
Pb1 0.0000 0.0000 0.2500 (multiplicity 4)

=====

Entry 7:
Starting from a cell relaxed with PBE, the powder diffractogram of La4Tb2YEr2 was calculated for λ = 1.5418 Å (Cu Kα).
Intensities are scaled so that the largest is 100.

Most intense lines, 2θ from 15° to 90°, by angle:
| 2θ/deg | I/Imax |
| --- | --- |
| 30.11 | 100 |
| 34.91 | 51 |
| 50.18 | 30 |
| 50.27 | 6 |
| 59.59 | 14 |
| 59.68 | 28 |
| 62.52 | 6 |
| 62.67 | 6 |
| 81.62 | 9 |
| 84.24 | 11 |

Atomic structure:
Lattice parameters (Å, degrees): 18.8773 3.6413 8.8946 90.00 90.06 90.00
Space group C2/m (No. 12)
Asymmetric unit:
La1 0.0554 0.0000 0.1698 (multiplicity 4)
La2 0.2228 0.5000 0.1732 (multiplicity 4)
Tb1 0.1115 0.5000 0.8274 (multiplicity 4)
Y1 0.0000 0.5000 0.5000 (multiplicity 2)
Er1 0.1665 0.0000 0.5022 (multiplicity 4)

=====

Entry 8:
Starting from a cell relaxed with PBE, the powder diffractogram of Ti4AgO8 was calculated for λ = 1.5418 Å (Cu Kα).
Intensities are scaled so that the largest is 100.

Most intense lines, 2θ from 15° to 90°, by angle:
| 2θ/deg | I/Imax |
| --- | --- |
| 24.45 | 32 |
| 27.37 | 100 |
| 27.44 | 20 |
| 31.37 | 22 |
| 36.00 | 48 |
| 39.10 | 20 |
| 40.16 | 48 |
| 44.00 | 19 |
| 57.27 | 15 |
| 69.63 | 19 |

Atomic structure:
Lattice parameters (Å, degrees): 14.5555 2.9679 10.2792 90.00 134.85 90.00
Space group Cm (No. 8)
Asymmetric unit:
Ti1 0.0000 0.0000 0.0000 (multiplicity 2)
Ti2 0.0200 0.5000 0.3378 (multiplicity 2)
Ti3 0.1833 0.0000 0.7033 (multiplicity 2)
Ti4 0.2033 0.5000 0.0411 (multiplicity 2)
Ag1 0.3506 0.5000 0.5192 (multiplicity 2)
O1 0.0081 0.5000 0.8828 (multiplicity 2)
O2 0.0157 0.5000 0.1452 (multiplicity 2)
O3 0.0583 0.5000 0.5715 (multiplicity 2)
O4 0.1451 0.0000 0.4697 (multiplicity 2)
O5 0.1877 0.0000 0.8961 (multiplicity 2)
O6 0.1954 0.0000 0.1586 (multiplicity 2)
O7 0.3123 0.5000 0.8156 (multiplicity 2)
O8 0.3911 0.5000 0.2256 (multiplicity 2)

=====

Entry 9:
Starting from a cell relaxed with PBE, the powder diffractogram of ScPIr was calculated for λ = 1.5418 Å (Cu Kα).
Intensities are scaled so that the largest is 100.

Most intense lines, 2θ from 15° to 90°, by angle:
| 2θ/deg | I/Imax |
| --- | --- |
| 21.15 | 48 |
| 24.63 | 47 |
| 28.51 | 27 |
| 36.31 | 100 |
| 36.60 | 41 |
| 40.04 | 41 |
| 42.42 | 35 |
| 42.66 | 26 |
| 43.73 | 29 |
| 47.60 | 35 |

Atomic structure:
Lattice parameters (Å, degrees): 6.4971 3.8205 11.1469 90.00 90.83 90.00
Space group P2_1/m (No. 11)
Asymmetric unit:
Sc1 0.0197 0.2500 0.2097 (multiplicity 2)
Sc2 0.3498 0.7500 0.5784 (multiplicity 2)
Sc3 0.4690 0.7500 0.8824 (multiplicity 2)
P1 0.2346 0.2500 0.4164 (multiplicity 2)
P2 0.2354 0.7500 0.0832 (multiplicity 2)
P3 0.2740 0.2500 0.7515 (multiplicity 2)
Ir1 0.0184 0.2500 0.5947 (multiplicity 2)
Ir2 0.1574 0.2500 0.9597 (multiplicity 2)
Ir3 0.3588 0.7500 0.2944 (multiplicity 2)

=====

Entry 10:
Starting from a cell relaxed with PBE, the powder diffractogram of PaTlPb2 was calculated for λ = 1.5418 Å (Cu Kα).
Intensities are scaled so that the largest is 100.

Most intense lines, 2θ from 15° to 90°, by angle:
| 2θ/deg | I/Imax |
| --- | --- |
| 32.43 | 100 |
| 37.03 | 35 |
| 38.77 | 16 |
| 53.38 | 13 |
| 54.70 | 23 |
| 63.86 | 30 |
| 66.21 | 13 |
| 67.90 | 12 |
| 78.87 | 4 |
| 87.87 | 7 |

Atomic structure:
Lattice parameters (Å, degrees): 4.8548 4.8548 4.6450 90.00 90.00 90.00
Space group P4/mmm (No. 123)
Asymmetric unit:
Pa1 0.0000 0.0000 0.0000 (multiplicity 1)
Tl1 0.5000 0.5000 0.0000 (multiplicity 1)
Pb1 0.0000 0.5000 0.5000 (multiplicity 2)

=====

Entry 11:
Starting from a cell relaxed with PBE, the powder diffractogram of Na5PuPb6 was calculated for λ = 1.5418 Å (Cu Kα).
Intensities are scaled so that the largest is 100.

Most intense lines, 2θ from 15° to 90°, by angle:
| 2θ/deg | I/Imax |
| --- | --- |
| 16.58 | 20 |
| 22.35 | 27 |
| 22.67 | 29 |
| 24.36 | 29 |
| 29.53 | 22 |
| 31.49 | 27 |
| 32.60 | 47 |
| 33.29 | 76 |
| 33.52 | 100 |
| 54.81 | 19 |

Atomic structure:
Lattice parameters (Å, degrees): 5.6820 7.3091 8.6799 90.00 108.30 90.00
Space group P2/m (No. 10)
Asymmetric unit:
Na1 0.0000 0.0000 0.0000 (multiplicity 1)
Na2 0.2549 0.0000 0.6663 (multiplicity 2)
Na3 0.2589 0.5000 0.6668 (multiplicity 2)
Pu1 0.0000 0.5000 0.0000 (multiplicity 1)
Pb1 0.2511 0.2568 0.3375 (multiplicity 4)
Pb2 0.5000 0.2498 0.0000 (multiplicity 2)

=====

Entry 12:
Starting from a cell relaxed with PBE, the powder diffractogram of PmPr2NdDy5 was calculated for λ = 1.5418 Å (Cu Kα).
Intensities are scaled so that the largest is 100.

Most intense lines, 2θ from 15° to 90°, by angle:
| 2θ/deg | I/Imax |
| --- | --- |
| 28.49 | 49 |
| 28.96 | 51 |
| 30.55 | 100 |
| 32.47 | 14 |
| 37.63 | 15 |
| 45.97 | 12 |
| 46.27 | 12 |
| 52.33 | 22 |
| 55.26 | 13 |
| 59.98 | 15 |

Atomic structure:
Lattice parameters (Å, degrees): 8.7192 8.7192 15.7928 90.00 90.00 90.00
Space group I4/mcm (No. 140)
Asymmetric unit:
Pm1 0.0000 0.0000 0.2500 (multiplicity 4)
Pr1 0.1187 0.3813 0.0000 (multiplicity 8)
Nd1 0.0000 0.5000 0.2500 (multiplicity 4)
Dy1 0.0000 0.0000 0.0000 (multiplicity 4)
Dy2 0.2093 0.2907 0.3613 (multiplicity 16)